[1]
# TbMnO3
Theoretical powder diffraction line list, Cu Kα. Input: DFT lattice parameters and positions (GGA+U).
Neutral-atom scattering factors, no anomalous dispersion.

Peak list (8 most intense, 15° ≤ 2θ ≤ 90°, by angle)
2θ/deg  Rel. int.
27.06  100
32.63  40
40.51  53
43.43  15
45.13  21
51.49  18
53.44  23
55.77  18

Structural model:
```
data_TbMnO3
_cell_length_a 6.038
_cell_length_b 13.165
_cell_length_c 3.407
_cell_angle_alpha 90.00
_cell_angle_beta 90.00
_cell_angle_gamma 90.00
_symmetry_space_group_name_H-M 'P 1'
_symmetry_Int_Tables_number 1
loop_
_symmetry_equiv_pos_as_xyz
'x,y,z'
loop_
_atom_site_label
_atom_site_fract_x
_atom_site_fract_y
_atom_site_fract_z
Tb1 0.244 0.250 0.246
Tb2 0.256 0.750 0.746
Tb3 0.744 0.250 0.254
Tb4 0.756 0.750 0.754
Mn1 0.000 0.000 0.000
Mn2 0.000 0.500 0.000
Mn3 0.500 0.000 0.500
Mn4 0.500 0.500 0.500
O1 0.007 0.750 0.245
O2 0.240 0.077 0.271
O3 0.240 0.423 0.271
O4 0.260 0.577 0.771
O5 0.260 0.923 0.771
O6 0.493 0.250 0.745
O7 0.507 0.750 0.255
O8 0.740 0.077 0.229
O9 0.740 0.423 0.229
O10 0.760 0.577 0.729
O11 0.760 0.923 0.729
O12 0.993 0.250 0.755
```


[2]
# Li2FeB2O6
Theoretical powder diffraction line list, Cu Kα. Input: DFT lattice parameters and positions (GGA+U).
Neutral-atom scattering factors, no anomalous dispersion.

Peak list (8 most intense, 15° ≤ 2θ ≤ 90°, by angle)
2θ/deg  Rel. int.
18.63  100
20.67  74
21.83  64
33.04  13
35.29  25
36.56  27
40.00  25
53.14  13

Structural model:
```
data_Li2FeB2O6
_cell_length_a 5.392
_cell_length_b 7.667
_cell_length_c 5.874
_cell_angle_alpha 90.00
_cell_angle_beta 117.93
_cell_angle_gamma 90.00
_symmetry_space_group_name_H-M 'P 1'
_symmetry_Int_Tables_number 1
loop_
_symmetry_equiv_pos_as_xyz
'x,y,z'
loop_
_atom_site_label
_atom_site_fract_x
_atom_site_fract_y
_atom_site_fract_z
Li1 0.106 0.065 0.300
Li2 0.106 0.435 0.800
Li3 0.894 0.565 0.200
Li4 0.894 0.935 0.700
Fe1 0.500 0.000 0.000
Fe2 0.500 0.500 0.500
B1 0.378 0.739 0.130
B2 0.378 0.761 0.630
B3 0.622 0.239 0.370
B4 0.622 0.261 0.870
O1 0.226 0.608 0.586
O2 0.226 0.892 0.086
O3 0.277 0.578 0.158
O4 0.277 0.922 0.658
O5 0.386 0.240 0.903
O6 0.386 0.260 0.403
O7 0.614 0.740 0.597
O8 0.614 0.760 0.097
O9 0.723 0.078 0.342
O10 0.723 0.422 0.842
O11 0.774 0.108 0.914
O12 0.774 0.392 0.414
```


[3]
# MgTiMnO4
Theoretical powder diffraction line list, Cu Kα. Input: DFT lattice parameters and positions (GGA+U).
Neutral-atom scattering factors, no anomalous dispersion.

Peak list (8 most intense, 15° ≤ 2θ ≤ 90°, by angle)
2θ/deg  Rel. int.
22.91  43
24.44  100
34.73  35
36.23  43
36.73  39
42.77  53
46.27  41
52.23  45

Structural model:
```
data_MgTiMnO4
_cell_length_a 5.680
_cell_length_b 5.680
_cell_length_c 5.680
_cell_angle_alpha 139.59
_cell_angle_beta 136.29
_cell_angle_gamma 61.03
_symmetry_space_group_name_H-M 'P 1'
_symmetry_Int_Tables_number 1
loop_
_symmetry_equiv_pos_as_xyz
'x,y,z'
loop_
_atom_site_label
_atom_site_fract_x
_atom_site_fract_y
_atom_site_fract_z
Mg1 0.000 0.000 0.000
Ti1 0.586 0.586 0.000
Mn1 0.307 0.807 0.500
O1 0.086 0.586 0.500
O2 0.396 0.396 0.000
O3 0.569 0.069 0.500
O4 0.791 0.791 0.000
```


[4]
# Gd2MnCoO6
Theoretical powder diffraction line list, Cu Kα. Input: DFT lattice parameters and positions (GGA+U).
Neutral-atom scattering factors, no anomalous dispersion.

Peak list (8 most intense, 15° ≤ 2θ ≤ 90°, by angle)
2θ/deg  Rel. int.
22.89  35
25.82  50
31.49  37
33.11  99
33.24  100
33.69  85
48.46  61
52.73  40

Structural model:
```
data_Gd2MnCoO6
_cell_length_a 5.326
_cell_length_b 5.681
_cell_length_c 9.184
_cell_angle_alpha 90.00
_cell_angle_beta 125.13
_cell_angle_gamma 90.00
_symmetry_space_group_name_H-M 'P 1'
_symmetry_Int_Tables_number 1
loop_
_symmetry_equiv_pos_as_xyz
'x,y,z'
loop_
_atom_site_label
_atom_site_fract_x
_atom_site_fract_y
_atom_site_fract_z
Gd1 0.232 0.071 0.250
Gd2 0.232 0.429 0.750
Gd3 0.768 0.571 0.250
Gd4 0.768 0.929 0.750
Mn1 0.500 0.000 0.000
Mn2 0.500 0.500 0.500
Co1 0.000 0.000 0.500
Co2 0.000 0.500 0.000
O1 0.158 0.183 0.951
O2 0.158 0.317 0.451
O3 0.262 0.709 0.947
O4 0.262 0.791 0.447
O5 0.354 0.031 0.753
O6 0.354 0.469 0.253
O7 0.646 0.531 0.747
O8 0.646 0.969 0.247
O9 0.738 0.209 0.553
O10 0.738 0.291 0.053
O11 0.842 0.683 0.549
O12 0.842 0.817 0.049
```


[5]
# Mn3CoO8
Theoretical powder diffraction line list, Cu Kα. Input: DFT lattice parameters and positions (GGA+U).
Neutral-atom scattering factors, no anomalous dispersion.

Peak list (8 most intense, 15° ≤ 2θ ≤ 90°, by angle)
2θ/deg  Rel. int.
18.70  100
19.18  25
36.43  23
36.95  11
44.37  61
58.70  10
63.86  16
65.24  15

Structural model:
```
data_Mn3CoO8
_cell_length_a 5.722
_cell_length_b 5.722
_cell_length_c 5.722
_cell_angle_alpha 61.25
_cell_angle_beta 61.25
_cell_angle_gamma 61.25
_symmetry_space_group_name_H-M 'P 1'
_symmetry_Int_Tables_number 1
loop_
_symmetry_equiv_pos_as_xyz
'x,y,z'
loop_
_atom_site_label
_atom_site_fract_x
_atom_site_fract_y
_atom_site_fract_z
Mn1 0.000 0.500 0.500
Mn2 0.500 0.000 0.500
Mn3 0.500 0.500 0.000
Co1 0.500 0.500 0.500
O1 0.263 0.263 0.263
O2 0.267 0.267 0.705
O3 0.267 0.705 0.267
O4 0.295 0.733 0.733
O5 0.705 0.267 0.267
O6 0.733 0.295 0.733
O7 0.733 0.733 0.295
O8 0.737 0.737 0.737
```


[6]
# Li3NiB2O6
Theoretical powder diffraction line list, Cu Kα. Input: DFT lattice parameters and positions (GGA+U).
Neutral-atom scattering factors, no anomalous dispersion.

Peak list (8 most intense, 15° ≤ 2θ ≤ 90°, by angle)
2θ/deg  Rel. int.
17.84  44
21.28  42
22.52  65
23.02  68
23.51  69
28.67  56
29.96  100
36.14  53

Structural model:
```
data_Li3NiB2O6
_cell_length_a 4.973
_cell_length_b 6.663
_cell_length_c 8.230
_cell_angle_alpha 69.99
_cell_angle_beta 89.45
_cell_angle_gamma 88.88
_symmetry_space_group_name_H-M 'P 1'
_symmetry_Int_Tables_number 1
loop_
_symmetry_equiv_pos_as_xyz
'x,y,z'
loop_
_atom_site_label
_atom_site_fract_x
_atom_site_fract_y
_atom_site_fract_z
Li1 0.114 0.258 0.161
Li2 0.150 0.435 0.723
Li3 0.342 0.403 0.427
Li4 0.658 0.597 0.573
Li5 0.850 0.565 0.277
Li6 0.886 0.742 0.839
Ni1 0.382 0.041 0.779
Ni2 0.618 0.959 0.221
B1 0.149 0.816 0.409
B2 0.335 0.681 0.079
B3 0.665 0.319 0.921
B4 0.851 0.184 0.591
O1 0.130 0.191 0.609
O2 0.199 0.518 0.192
O3 0.232 0.787 0.915
O4 0.280 0.996 0.300
O5 0.281 0.649 0.522
O6 0.416 0.253 0.880
O7 0.584 0.747 0.120
O8 0.719 0.351 0.478
O9 0.720 0.004 0.700
O10 0.768 0.213 0.085
O11 0.801 0.482 0.808
O12 0.870 0.809 0.391
```


[7]
# AlReW2O8
Theoretical powder diffraction line list, Cu Kα. Input: DFT lattice parameters and positions (GGA+U).
Neutral-atom scattering factors, no anomalous dispersion.

Peak list (8 most intense, 15° ≤ 2θ ≤ 90°, by angle)
2θ/deg  Rel. int.
24.91  96
30.29  100
30.39  98
34.49  44
36.43  65
52.84  31
54.20  32
54.34  35

Structural model:
```
data_AlReW2O8
_cell_length_a 5.201
_cell_length_b 5.603
_cell_length_c 10.620
_cell_angle_alpha 90.00
_cell_angle_beta 119.04
_cell_angle_gamma 90.00
_symmetry_space_group_name_H-M 'P 1'
_symmetry_Int_Tables_number 1
loop_
_symmetry_equiv_pos_as_xyz
'x,y,z'
loop_
_atom_site_label
_atom_site_fract_x
_atom_site_fract_y
_atom_site_fract_z
Al1 0.000 0.161 0.250
Al2 0.000 0.839 0.750
Re1 0.500 0.136 0.750
Re2 0.500 0.864 0.250
W1 0.241 0.343 0.998
W2 0.241 0.657 0.498
W3 0.759 0.343 0.502
W4 0.759 0.657 0.002
O1 0.028 0.380 0.122
O2 0.028 0.620 0.622
O3 0.058 0.105 0.642
O4 0.058 0.895 0.142
O5 0.431 0.123 0.358
O6 0.431 0.877 0.858
O7 0.480 0.368 0.884
O8 0.480 0.632 0.384
O9 0.520 0.368 0.616
O10 0.520 0.632 0.116
O11 0.569 0.123 0.142
O12 0.569 0.877 0.642
O13 0.942 0.105 0.858
O14 0.942 0.895 0.358
O15 0.972 0.380 0.378
O16 0.972 0.620 0.878
```


[8]
# Li2TiFeO4
Theoretical powder diffraction line list, Cu Kα. Input: DFT lattice parameters and positions (GGA+U).
Neutral-atom scattering factors, no anomalous dispersion.

Peak list (8 most intense, 15° ≤ 2θ ≤ 90°, by angle)
2θ/deg  Rel. int.
22.84  91
24.29  100
36.56  29
40.38  57
41.76  54
45.14  46
59.49  35
62.15  26

Structural model:
```
data_Li2TiFeO4
_cell_length_a 4.326
_cell_length_b 7.804
_cell_length_c 9.794
_cell_angle_alpha 78.13
_cell_angle_beta 89.98
_cell_angle_gamma 74.04
_symmetry_space_group_name_H-M 'P 1'
_symmetry_Int_Tables_number 1
loop_
_symmetry_equiv_pos_as_xyz
'x,y,z'
loop_
_atom_site_label
_atom_site_fract_x
_atom_site_fract_y
_atom_site_fract_z
Li1 0.000 0.000 0.000
Li2 0.076 0.856 0.286
Li3 0.240 0.502 0.250
Li4 0.321 0.355 0.536
Li5 0.506 0.000 0.499
Li6 0.597 0.852 0.783
Li7 0.757 0.499 0.748
Li8 0.845 0.354 0.035
Ti1 0.243 0.620 0.947
Ti2 0.490 0.122 0.198
Ti3 0.645 0.621 0.447
Ti4 0.990 0.119 0.698
Fe1 0.127 0.748 0.620
Fe2 0.375 0.247 0.871
Fe3 0.626 0.750 0.120
Fe4 0.875 0.248 0.371
O1 0.061 0.877 0.813
O2 0.128 0.739 0.103
O3 0.214 0.625 0.438
O4 0.231 0.521 0.779
O5 0.315 0.378 0.063
O6 0.376 0.239 0.354
O7 0.415 0.123 0.689
O8 0.478 0.023 0.030
O9 0.568 0.879 0.313
O10 0.636 0.739 0.604
O11 0.668 0.624 0.938
O12 0.751 0.522 0.279
O13 0.812 0.379 0.563
O14 0.875 0.237 0.854
O15 0.917 0.125 0.189
O16 0.980 0.022 0.528
```


What is the formula in the second record? Li2FeB2O6


What did the sixth record say?
# Li3NiB2O6
Theoretical powder diffraction line list, Cu Kα. Input: DFT lattice parameters and positions (GGA+U).
Neutral-atom scattering factors, no anomalous dispersion.

Peak list (8 most intense, 15° ≤ 2θ ≤ 90°, by angle)
2θ/deg  Rel. int.
17.84  44
21.28  42
22.52  65
23.02  68
23.51  69
28.67  56
29.96  100
36.14  53

Structural model:
```
data_Li3NiB2O6
_cell_length_a 4.973
_cell_length_b 6.663
_cell_length_c 8.230
_cell_angle_alpha 69.99
_cell_angle_beta 89.45
_cell_angle_gamma 88.88
_symmetry_space_group_name_H-M 'P 1'
_symmetry_Int_Tables_number 1
loop_
_symmetry_equiv_pos_as_xyz
'x,y,z'
loop_
_atom_site_label
_atom_site_fract_x
_atom_site_fract_y
_atom_site_fract_z
Li1 0.114 0.258 0.161
Li2 0.150 0.435 0.723
Li3 0.342 0.403 0.427
Li4 0.658 0.597 0.573
Li5 0.850 0.565 0.277
Li6 0.886 0.742 0.839
Ni1 0.382 0.041 0.779
Ni2 0.618 0.959 0.221
B1 0.149 0.816 0.409
B2 0.335 0.681 0.079
B3 0.665 0.319 0.921
B4 0.851 0.184 0.591
O1 0.130 0.191 0.609
O2 0.199 0.518 0.192
O3 0.232 0.787 0.915
O4 0.280 0.996 0.300
O5 0.281 0.649 0.522
O6 0.416 0.253 0.880
O7 0.584 0.747 0.120
O8 0.719 0.351 0.478
O9 0.720 0.004 0.700
O10 0.768 0.213 0.085
O11 0.801 0.482 0.808
O12 0.870 0.809 0.391
```